Simulated powder XRD pattern
Compound: Gd5Ir3
Radiation: Cu Ka
Structure: a structure optimized by DFT (GGA-PBE)
Kinematic intensities with the Lorentz-polarization factor, no thermal factor.

Unit cell a=10.970 b=10.970 c=6.397 alpha=90.00 beta=90.00 gamma=90.00
Space group P4/ncc (No. 130, origin choice 2)
Symmetry-distinct sites (fractional):
1 Gd 0.042 0.161 0.122 [16 per cell]
2 Gd 0.250 0.750 0.000 [4 per cell]
3 Ir 0.096 0.596 0.750 [8 per cell]
4 Ir 0.250 0.250 0.379 [4 per cell]

Peak list (10 most intense, 10 to 90 degrees two-theta, in order of rising 2θ)
index	two_theta	d/Å	Rel. int.
2 1 1	22.86	3.890	23
3 1 1	29.29	3.049	36
3 2 1	32.59	2.748	33
2 1 2	33.45	2.679	41
4 2 0	36.61	2.455	100
3 0 2	37.35	2.407	20
3 1 2	38.28	2.351	26
4 0 2	43.47	2.082	14
2 1 3	46.44	1.955	21
4 4 0	46.81	1.941	19


Simulated powder XRD pattern
Compound: Y4CdSiN2
Radiation: Cu Ka
Structure: a structure optimized by DFT (GGA-PBE)
Kinematic intensities with the Lorentz-polarization factor, no thermal factor.

Unit cell a=3.5024 b=3.5024 c=15.0840 alpha=90.00 beta=90.00 gamma=120.00
Space group P-6m2 (No. 187)
Symmetry-distinct sites (fractional):
1 Y 0.0000 0.0000 0.1468 [2 per cell]
2 Y 0.6667 0.3333 0.3264 [2 per cell]
3 Cd 0.0000 0.0000 0.5000 [1 per cell]
4 Si 0.6667 0.3333 0.0000 [1 per cell]
5 N 0.3333 0.6667 0.2375 [2 per cell]

Peak list (10 most intense, 10 to 90 degrees two-theta, in order of rising 2θ)
index	two_theta	d/Å	Rel. int.
1 0 0	29.45	3.033	24
1 0 2	31.80	2.814	11
1 0 3	34.53	2.597	100
0 0 6	35.71	2.514	15
1 0 6	46.94	1.936	14
1 1 0	52.24	1.751	23
1 0 9	63.41	1.467	10
2 0 3	64.14	1.452	16
1 1 6	64.89	1.437	15
2 1 3	87.21	1.118	13


Simulated powder XRD pattern
Compound: Cu2Ag
Radiation: Cu Ka
Structure: a structure optimized by DFT (GGA-PBE)
Kinematic intensities with the Lorentz-polarization factor, no thermal factor.

Unit cell a=2.754 b=2.754 c=32.815 alpha=90.00 beta=90.00 gamma=90.00
Space group I4mm (No. 107)
Symmetry-distinct sites (fractional):
1 Cu 0.000 0.000 0.000 [2 per cell]
2 Cu 0.000 0.000 0.098 [2 per cell]
3 Cu 0.000 0.000 0.196 [2 per cell]
4 Cu 0.000 0.000 0.549 [2 per cell]
5 Cu 0.000 0.000 0.647 [2 per cell]
6 Cu 0.000 0.000 0.882 [2 per cell]
7 Ag 0.000 0.000 0.323 [2 per cell]
8 Ag 0.000 0.000 0.441 [2 per cell]
9 Ag 0.000 0.000 0.755 [2 per cell]

Peak list (10 most intense, 10 to 90 degrees two-theta, in order of rising 2θ)
index	two_theta	d/Å	Rel. int.
1 0 7	37.89	2.375	19
1 0 9	41.07	2.198	100
0 0 16	44.16	2.051	8
1 0 11	44.79	2.024	6
1 1 0	46.64	1.947	43
0 0 18	50.03	1.823	6
1 1 16	66.17	1.412	8
2 0 0	68.09	1.377	13
1 1 18	70.80	1.331	8
2 1 9	82.71	1.167	23


Simulated powder XRD pattern
Compound: B2Ir3Pd
Radiation: Cu Ka
Structure: a structure optimized by DFT (GGA-PBE)
Kinematic intensities with the Lorentz-polarization factor, no thermal factor.

Unit cell a=4.631 b=3.292 c=5.027 alpha=90.00 beta=92.60 gamma=90.00
Space group Pm (No. 6)
Symmetry-distinct sites (fractional):
1 B 0.000 0.000 0.000 [1 per cell]
2 B 0.475 0.500 0.524 [1 per cell]
3 Ir 0.104 0.500 0.771 [1 per cell]
4 Ir 0.368 0.000 0.263 [1 per cell]
5 Ir 0.600 0.000 0.779 [1 per cell]
6 Pd 0.862 0.500 0.272 [1 per cell]

Peak list (10 most intense, 10 to 90 degrees two-theta, in order of rising 2θ)
index	two_theta	d/Å	Rel. int.
1 1 0	33.41	2.682	100
0 0 2	35.76	2.511	77
1 1 -1	37.60	2.392	61
1 1 1	38.47	2.340	65
2 0 -1	42.27	2.138	50
2 0 1	43.83	2.066	46
1 1 -2	49.04	1.857	42
1 1 2	50.44	1.809	32
0 2 0	55.86	1.646	24
0 2 2	68.12	1.376	24


Simulated powder XRD pattern
Compound: SrZnSb2Pd
Radiation: Cu Ka
Structure: a structure optimized by DFT (GGA-PBE)
Kinematic intensities with the Lorentz-polarization factor, no thermal factor.

Unit cell a=4.667 b=4.667 c=11.321 alpha=90.00 beta=90.00 gamma=90.00
Space group P4/nmm (No. 129, origin choice 2)
Symmetry-distinct sites (fractional):
1 Sr 0.250 0.250 0.244 [2 per cell]
2 Zn 0.250 0.750 0.500 [2 per cell]
3 Sb 0.250 0.250 0.634 [2 per cell]
4 Sb 0.250 0.750 0.000 [2 per cell]
5 Pd 0.250 0.250 0.869 [2 per cell]

Peak list (10 most intense, 10 to 90 degrees two-theta, in order of rising 2θ)
index	two_theta	d/Å	Rel. int.
1 0 1	20.59	4.315	21
1 0 3	30.46	2.934	61
1 1 2	31.38	2.851	100
2 0 0	38.58	2.333	81
1 1 4	42.06	2.148	53
1 0 5	44.47	2.037	33
2 1 3	49.93	1.826	30
2 2 0	55.71	1.650	27
2 1 5	60.31	1.535	26
3 1 2	65.34	1.428	23


Simulated powder XRD pattern
Compound: PdSeO3
Radiation: Cu Ka
Structure: a structure optimized by DFT (GGA-PBE)
Kinematic intensities with the Lorentz-polarization factor, no thermal factor.

Unit cell a=6.092 b=12.451 c=6.948 alpha=90.00 beta=90.00 gamma=90.00
Space group Pbca (No. 61)
Symmetry-distinct sites (fractional):
1 Pd 0.177 0.089 0.030 [8 per cell]
2 Se 0.124 0.155 0.563 [8 per cell]
3 O 0.011 0.591 0.127 [8 per cell]
4 O 0.134 0.572 0.584 [8 per cell]
5 O 0.243 0.240 0.934 [8 per cell]

Peak list (10 most intense, 10 to 90 degrees two-theta, in order of rising 2θ)
index	two_theta	d/Å	Rel. int.
0 0 2	25.64	3.474	100
0 4 0	28.68	3.113	37
1 3 1	29.03	3.076	23
1 0 2	29.60	3.018	25
2 1 0	30.21	2.959	45
1 4 1	34.85	2.574	53
0 4 2	38.86	2.318	23
2 1 2	40.03	2.252	29
0 4 3	49.00	1.859	21
1 8 1	63.11	1.473	30